# BaTc4P2
Simulated XRD peak list, Cu Kα. Input: a DFT-relaxed cell (GGA-PBE, Alexandria).

Main lines, low angle first (2θ from 10° to 90°):
2θ = 11.0°, rel. 67; 2θ = 31.4°, rel. 21; 2θ = 35.5°, rel. 100; 2θ = 42.2°, rel. 31; 2θ = 44.4°, rel. 23; 2θ = 45.1°, rel. 23; 2θ = 50.9°, rel. 35; 2θ = 65.1°, rel. 15

Crystal structure
```
data_BaTc4P2
_chemical_formula_sum 'Ba1 Tc4 P2'
_space_group_name_H-M_alt 'P 1'
_space_group_IT_number 1
_cell_length_a 8.315
_cell_length_b 8.315
_cell_length_c 4.023
_cell_angle_alpha 90.00
_cell_angle_beta 90.00
_cell_angle_gamma 151.60
loop_
_space_group_symop_operation_xyz
'x,y,z'
loop_
_atom_site_label
_atom_site_type_symbol
_atom_site_fract_x
_atom_site_fract_y
_atom_site_fract_z
Ba1 Ba 0.000 0.000 0.000
Tc1 Tc 0.192 0.808 0.500
Tc2 Tc 0.297 0.703 0.000
Tc3 Tc 0.703 0.297 0.000
Tc4 Tc 0.808 0.192 0.500
P1 P 0.387 0.613 0.500
P2 P 0.613 0.387 0.500
```